TeCl4: theoretical powder diffractogram (Cu Ka), based on a PBE-relaxed structure.
Lines closer than 0.1° are merged.

Most intense lines, 2θ = 10–90°, in order of rising 2θ:
h k l  2theta  intensity
0 2 0  10.91  45
1 1 0  14.07  100
1 1 -1  14.49  27
0 2 1  18.83  34
1 3 -1  21.24  36
0 0 2  30.93  78

Atomic structure:
```
data_TeCl4
_chemical_formula_sum 'Te4 Cl16'
_cell_length_a 8.2389
_cell_length_b 16.2257
_cell_length_c 6.9838
_cell_angle_alpha 90.00
_cell_angle_beta 124.03
_cell_angle_gamma 90.00
_space_group_name_H-M_alt 'C 1 2/c 1'
_space_group_IT_number 15
loop_
_space_group_symop_operation_xyz
'x,y,z'
'-x,-y,-z'
'-x,y,-z+1/2'
'x,-y,z+1/2'
'x+1/2,y+1/2,z'
'-x+1/2,-y+1/2,-z'
'-x+1/2,y+1/2,-z+1/2'
'x+1/2,-y+1/2,z+1/2'
loop_
_atom_site_label
_atom_site_type_symbol
_atom_site_fract_x
_atom_site_fract_y
_atom_site_fract_z
Te1 Te 0.0000 0.0685 0.2500
Cl1 Cl 0.2087 0.1670 0.2462
Cl2 Cl 0.2218 0.0623 0.6937
```